Computed X-ray powder pattern of Ba3LaInW2O12 for λ = 1.5418 Å (Cu Kα), from a cell relaxed with GGA+U.

Peak list (10 most intense, 2θ from 15° to 90°, low angle first)
two_theta  I_rel
28.43  100
30.71  85
42.34  51
48.86  20
53.21  35
54.60  17
58.83  16
63.96  16
67.83  18
71.44  15

Structural model:
```
19
Lattice="2.911 1.681 9.362 -2.911 1.681 9.362 0.000 -3.361 9.362" Properties=species:S:1:pos:R:3 pbc="T T T"
Ba 0.000 0.000 0.000
Ba 0.000 0.000 4.354
Ba 0.000 0.000 16.234
La 0.000 0.000 12.150
In 0.000 0.000 8.086
W 0.000 0.000 19.909
W 0.000 0.000 24.295
O 0.000 -1.764 6.752
O -1.528 0.882 6.752
O -1.484 -0.857 13.906
O -1.408 -0.813 20.879
O 0.000 -1.594 18.656
O -1.380 0.797 18.656
O 1.528 0.882 6.752
O 1.484 -0.857 13.906
O 0.000 1.714 13.906
O 1.408 -0.813 20.879
O 0.000 1.626 20.879
O 1.380 0.797 18.656
```